RbSrVO4: computed X-ray diffraction stick pattern (Cu Kα), based on DFT lattice parameters and positions (GGA+U).
Intensities are scaled so that the largest is 100.

Atomic structure:
a = 6.170 Å, b = 6.084 Å, c = 7.676 Å
α = 90.00°, β = 105.51°, γ = 90.00°
Fractional coordinates of all 14 atoms:
Rb (0.202, 0.250, 0.425)
Rb (0.798, 0.750, 0.575)
Sr (0.284, 0.250, 0.948)
Sr (0.716, 0.750, 0.052)
V (0.253, 0.750, 0.170)
V (0.747, 0.250, 0.830)
O (0.076, 0.750, 0.313)
O (0.080, 0.750, 0.952)
O (0.434, 0.523, 0.195)
O (0.434, 0.977, 0.195)
O (0.566, 0.023, 0.805)
O (0.566, 0.477, 0.805)
O (0.920, 0.250, 0.048)
O (0.924, 0.250, 0.687)

Most intense lines, 2θ from 15° to 90°, in order of rising 2θ:
(1 1 0), d = 4.252 Å, 20.89 deg, rel. 86; (1 0 1), d = 4.126 Å, 21.54 deg, rel. 59; (0 1 2), d = 3.160 Å, 28.24 deg, rel. 93; (1 1 -2), d = 3.099 Å, 28.80 deg, rel. 70; (0 2 0), d = 3.042 Å, 29.36 deg, rel. 100; (2 0 0), d = 2.973 Å, 30.06 deg, rel. 46; (1 1 2), d = 2.559 Å, 35.07 deg, rel. 60; (2 1 -2), d = 2.464 Å, 36.46 deg, rel. 58; (2 2 0), d = 2.126 Å, 42.52 deg, rel. 57; (1 0 -4), d = 1.918 Å, 47.40 deg, rel. 39